The following is a calculated powder diffractogram of PrErNpO6. It was derived from a cell relaxed with GGA-PBE, using Cu Ka.
Lines closer than 0.1° are merged.

Structural model:
Unit cell a=5.756 b=5.756 c=9.897 alpha=90.00 beta=90.00 gamma=120.00
Positions (direct):
Pr (0.000, 0.000, 0.000)
Pr (0.000, 0.000, 0.500)
Er (0.333, 0.667, 0.250)
Er (0.667, 0.333, 0.750)
Np (0.333, 0.667, 0.750)
Np (0.667, 0.333, 0.250)
O (0.022, 0.365, 0.638)
O (0.022, 0.657, 0.862)
O (0.343, 0.365, 0.862)
O (0.343, 0.978, 0.638)
O (0.365, 0.022, 0.138)
O (0.365, 0.343, 0.362)
O (0.635, 0.657, 0.638)
O (0.635, 0.978, 0.862)
O (0.657, 0.022, 0.362)
O (0.657, 0.635, 0.138)
O (0.978, 0.343, 0.138)
O (0.978, 0.635, 0.362)

Main lines, in order of rising 2θ (10° ≤ 2θ ≤ 90°):
(hkl)	2θ/deg	d (Å)	Rel. int.
0 0 2	17.9	4.949	24
1 0 2	25.4	3.512	100
1 1 0	31.1	2.878	61
1 1 2	36.1	2.488	24
2 0 2	40.5	2.226	29
1 1 4	48.5	1.876	51
2 1 2	51.9	1.761	29
3 0 0	55.3	1.661	19
3 0 4	68.0	1.379	13
4 -2 4	76.6	1.244	13